(1)
Simulated powder XRD pattern of AcZnCdIr for Cu Ka, from a GGA-PBE-relaxed structure.
Intensities are scaled so that the largest is 100.

Largest 12 diffraction maxima, in order of falling intensity, 10° ≤ 2θ ≤ 80°:
hkl 2 2 0, 2.531 Å, 35.47°, intensity 100
hkl 4 2 2, 1.461 Å, 63.69°, intensity 36
hkl 4 0 0, 1.790 Å, 51.03°, intensity 18
hkl 1 1 1, 4.133 Å, 21.50°, intensity 16
hkl 4 4 0, 1.265 Å, 75.07°, intensity 11
hkl 3 1 1, 2.158 Å, 41.85°, intensity 9
hkl 3 3 1, 1.642 Å, 55.99°, intensity 4
hkl 5 3 1, 1.210 Å, 79.16°, intensity 3
hkl 5 1 1, 1.378 Å, 68.06°, intensity 3
hkl 2 0 0, 3.579 Å, 24.88°, intensity 2
hkl 4 2 0, 1.601 Å, 57.58°, intensity 1
hkl 2 2 2, 2.066 Å, 43.81°, intensity 1

Structure:
a = 7.158 Å, b = 7.158 Å, c = 7.158 Å
α = 90.00°, β = 90.00°, γ = 90.00°
Space group F-43m (No. 216)
Asymmetric unit:
Ac (0.000, 0.000, 0.000)
Zn (0.250, 0.250, 0.250)
Cd (0.000, 0.000, 0.500)
Ir (0.250, 0.250, 0.750)

---

(2)
Simulated powder XRD pattern of Cs2HgCl4 for Cu Ka, from a GGA-PBE-relaxed structure.
Intensities are scaled so that the largest is 100.

Largest 12 diffraction maxima, in order of falling intensity, 10° ≤ 2θ ≤ 80°:
hkl 0 1 6, 4.013 Å, 22.15°, intensity 100
hkl 0 2 0, 3.953 Å, 22.49°, intensity 61
hkl 2 1 2, 3.987 Å, 22.30°, intensity 39
hkl 2 1 0, 4.180 Å, 21.25°, intensity 26
hkl 1 1 -2, 5.661 Å, 15.65°, intensity 25
hkl 1 1 8, 3.019 Å, 29.59°, intensity 24
hkl 0 3 6, 2.294 Å, 39.28°, intensity 22
hkl 3 1 -2, 2.976 Å, 30.02°, intensity 21
hkl 3 0 4, 2.951 Å, 30.29°, intensity 21
hkl 2 2 -6, 2.586 Å, 34.69°, intensity 17
hkl 2 2 4, 2.805 Å, 31.91°, intensity 17
hkl 1 1 2, 5.614 Å, 15.78°, intensity 15

Structure:
a = 9.858 Å, b = 7.907 Å, c = 27.921 Å
α = 90.00°, β = 91.18°, γ = 90.00°
Space group P2_1/c (No. 14)
Asymmetric unit:
Cs (0.003, 0.243, 0.152)
Cs (0.122, 0.738, 0.055)
Cs (0.372, 0.227, 0.284)
Cs (0.488, 0.694, 0.410)
Hg (0.203, 0.717, 0.213)
Hg (0.285, 0.226, 0.458)
Cl (0.029, 0.108, 0.273)
Cl (0.167, 0.186, 0.035)
Cl (0.184, 0.564, 0.940)
Cl (0.197, 0.096, 0.887)
Cl (0.286, 0.532, 0.667)
Cl (0.318, 0.027, 0.667)
Cl (0.336, 0.748, 0.793)
Cl (0.465, 0.733, 0.536)

---

(3)
Simulated powder XRD pattern of Ca6MgTl2 for Cu Ka, from a GGA-PBE-relaxed structure.
Intensities are scaled so that the largest is 100.

Largest 12 diffraction maxima, in order of falling intensity, 10° ≤ 2θ ≤ 80°:
hkl 1 0 3, 2.855 Å, 31.33°, intensity 100
hkl 1 0 1, 4.445 Å, 19.97°, intensity 92
hkl 1 1 0, 2.831 Å, 31.61°, intensity 91
hkl 2 1 3, 1.639 Å, 56.11°, intensity 37
hkl 0 2 3, 2.010 Å, 45.10°, intensity 36
hkl 0 0 2, 5.268 Å, 16.83°, intensity 31
hkl 1 1 2, 2.494 Å, 36.02°, intensity 30
hkl 1 0 0, 4.903 Å, 18.09°, intensity 22
hkl 0 2 1, 2.388 Å, 37.67°, intensity 19
hkl 1 1 4, 1.928 Å, 47.13°, intensity 18
hkl 2 1 1, 1.825 Å, 49.97°, intensity 18
hkl 3 0 0, 1.634 Å, 56.29°, intensity 17

Structure:
a = 5.6615 Å, b = 5.6615 Å, c = 10.5369 Å
α = 90.00°, β = 90.00°, γ = 120.00°
Space group P-3m1 (No. 164)
Asymmetric unit:
Ca (0.0000, 0.0000, 0.1953)
Ca (0.3333, 0.6667, 0.0496)
Ca (0.3333, 0.6667, 0.4057)
Mg (0.0000, 0.0000, 0.5000)
Tl (0.3333, 0.6667, 0.7339)

---

(4)
Simulated powder XRD pattern of AcTb12Dy7 for Cu Ka, from a GGA-PBE-relaxed structure.
Intensities are scaled so that the largest is 100.

Largest 12 diffraction maxima, in order of falling intensity, 10° ≤ 2θ ≤ 80°:
hkl 4 -3 1, 2.852 Å, 31.36°, intensity 100
hkl 3 1 2, 2.723 Å, 32.90°, intensity 58
hkl 3 -1 4, 2.795 Å, 32.02°, intensity 47
hkl 0 1 5, 3.026 Å, 29.52°, intensity 39
hkl 0 3 3, 2.907 Å, 30.75°, intensity 28
hkl 2 5 0, 1.674 Å, 54.83°, intensity 27
hkl 2 0 5, 2.706 Å, 33.10°, intensity 20
hkl 3 -2 8, 1.768 Å, 51.70°, intensity 17
hkl 2 -1 6, 2.416 Å, 37.22°, intensity 16
hkl 0 2 4, 3.154 Å, 28.30°, intensity 16
hkl 1 4 6, 1.725 Å, 53.09°, intensity 14
hkl 4 -2 3, 2.619 Å, 34.23°, intensity 10

Structure:
a = 12.0727 Å, b = 12.0727 Å, c = 15.8167 Å
α = 90.00°, β = 90.00°, γ = 120.00°
Space group R-3 (No. 148, hexagonal axes)
Asymmetric unit:
Ac (0.0000, 0.0000, 0.0000)
Tb (0.0095, 0.4404, 0.7182)
Tb (0.0511, 0.5896, 0.0837)
Dy (0.0000, 0.0000, 0.5000)
Dy (0.0492, 0.1892, 0.7958)

---

(5)
Simulated powder XRD pattern of PmAl4Ir2 for Cu Ka, from a GGA-PBE-relaxed structure.
Intensities are scaled so that the largest is 100.

Largest 12 diffraction maxima, in order of falling intensity, 10° ≤ 2θ ≤ 80°:
hkl 1 1 1, 3.330 Å, 26.77°, intensity 100
hkl 3 1 1, 2.095 Å, 43.19°, intensity 79
hkl 2 1 1, 2.655 Å, 33.75°, intensity 62
hkl 2 2 0, 2.695 Å, 33.25°, intensity 61
hkl 2 0 0, 3.811 Å, 23.34°, intensity 31
hkl 0 0 2, 2.117 Å, 42.70°, intensity 30
hkl 2 2 2, 1.665 Å, 55.16°, intensity 30
hkl 4 1 0, 1.849 Å, 49.27°, intensity 24
hkl 3 0 1, 2.179 Å, 41.45°, intensity 24
hkl 5 2 1, 1.342 Å, 70.10°, intensity 21
hkl 1 1 0, 5.390 Å, 16.45°, intensity 18
hkl 4 3 1, 1.434 Å, 65.03°, intensity 17

Structure:
a = 7.622 Å, b = 7.622 Å, c = 4.235 Å
α = 90.00°, β = 90.00°, γ = 90.00°
Space group P4_2/mnm (No. 136)
Asymmetric unit:
Pm (0.000, 0.000, 0.000)
Al (0.088, 0.338, 0.500)
Ir (0.224, 0.776, 0.500)

---

(6)
Simulated powder XRD pattern of Pr8Tl2Pb for Cu Ka, from a GGA-PBE-relaxed structure.
Intensities are scaled so that the largest is 100.

Largest 12 diffraction maxima, in order of falling intensity, 10° ≤ 2θ ≤ 80°:
hkl 5 1 -1, 2.918 Å, 30.64°, intensity 100
hkl 4 0 -3, 2.704 Å, 33.13°, intensity 19
hkl 0 2 0, 2.549 Å, 35.21°, intensity 18
hkl 5 3 -1, 1.533 Å, 60.37°, intensity 15
hkl 6 0 1, 2.362 Å, 38.09°, intensity 14
hkl 9 1 -4, 1.599 Å, 57.65°, intensity 13
hkl 4 2 -3, 1.855 Å, 49.12°, intensity 13
hkl 10 2 -2, 1.459 Å, 63.81°, intensity 11
hkl 6 2 1, 1.733 Å, 52.84°, intensity 11
hkl 10 0 -2, 1.779 Å, 51.36°, intensity 10
hkl 11 1 0, 1.449 Å, 64.28°, intensity 6
hkl 7 1 3, 1.450 Å, 64.23°, intensity 5

Structure:
a = 17.815 Å, b = 5.098 Å, c = 8.452 Å
α = 90.00°, β = 111.06°, γ = 90.00°
Space group C2/m (No. 12)
Asymmetric unit:
Pr (0.054, 0.000, 0.232)
Pr (0.097, 0.500, 0.951)
Pr (0.144, 0.000, 0.708)
Pr (0.179, 0.500, 0.437)
Tl (0.223, 0.000, 0.151)
Pb (0.000, 0.500, 0.500)